No. 1
This entry pairs a crystal structure of PrHg4Pb with its theoretical PXRD pattern. Radiation: Cu Ka. Structure: a structure optimized by DFT (PBE).
Kinematic intensities with the Lorentz-polarization factor, no thermal factor.

Structural model:
```
data_PrHg4Pb
_chemical_formula_sum 'Pr2 Hg8 Pb2'
_space_group_name_H-M_alt 'C m m m'
_space_group_IT_number 65
_space_group_name_Hall '-C 2 2'
_cell_length_a 4.753
_cell_length_b 13.852
_cell_length_c 4.801
_cell_angle_alpha 90.00
_cell_angle_beta 90.00
_cell_angle_gamma 90.00
loop_
_atom_site_label
_atom_site_fract_x
_atom_site_fract_y
_atom_site_fract_z
_atom_site_occupancy
Pr1 0.000 0.000 0.000 1
Hg1 0.000 0.171 0.500 1
Hg2 0.000 0.327 0.000 1
Pb1 0.000 0.500 0.500 1
```

Main lines, sorted by position (10° ≤ 2θ ≤ 90°):
32.9 deg, I = 100
37.5 deg, I = 18
37.9 deg, I = 17
39.0 deg, I = 16
54.3 deg, I = 12
55.2 deg, I = 11
64.7 deg, I = 15
65.2 deg, I = 14
66.8 deg, I = 13
68.9 deg, I = 12



No. 2
This entry pairs a crystal structure of Tl2Pb5Au4 with its theoretical PXRD pattern. Radiation: Cu Ka. Structure: a structure optimized by DFT (PBE).
Kinematic intensities with the Lorentz-polarization factor, no thermal factor.

Structural model:
```
data_Tl2Pb5Au4
_chemical_formula_sum 'Tl4 Pb10 Au8'
_space_group_name_H-M_alt 'C 1 2/m 1'
_space_group_IT_number 12
_cell_length_a 20.502
_cell_length_b 3.676
_cell_length_c 8.137
_cell_angle_alpha 90.00
_cell_angle_beta 94.46
_cell_angle_gamma 90.00
loop_
_space_group_symop_operation_xyz
'x,y,z'
'-x,-y,-z'
'-x,y,-z'
'x,-y,z'
'x+1/2,y+1/2,z'
'-x+1/2,-y+1/2,-z'
'-x+1/2,y+1/2,-z'
'x+1/2,-y+1/2,z'
loop_
_atom_site_label
_atom_site_fract_x
_atom_site_fract_y
_atom_site_fract_z
_atom_site_occupancy
Tl1 0.063 0.000 0.133 1
Pb1 0.000 0.000 0.500 1
Pb2 0.165 0.500 0.519 1
Pb3 0.181 0.500 0.958 1
Au1 0.053 0.500 0.776 1
Au2 0.208 0.000 0.261 1
```

Main lines, sorted by position (10° ≤ 2θ ≤ 90°):
26.8 deg, I = 34
27.1 deg, I = 30
27.6 deg, I = 25
29.2 deg, I = 25
33.0 deg, I = 23
34.8 deg, I = 100
35.2 deg, I = 60
36.1 deg, I = 24
40.8 deg, I = 23
49.6 deg, I = 27



No. 3
This entry pairs a crystal structure of SmPdSe with its theoretical PXRD pattern. Radiation: Cu Ka. Structure: a structure optimized by DFT (PBE).
Kinematic intensities with the Lorentz-polarization factor, no thermal factor.

Structural model:
```
data_SmPdSe
_chemical_formula_sum 'Sm1 Pd1 Se1'
_space_group_name_H-M_alt 'P -6 m 2'
_space_group_IT_number 187
_space_group_name_Hall 'P -6 2'
_cell_length_a 4.3864
_cell_length_b 4.3864
_cell_length_c 3.8403
_cell_angle_alpha 90.00
_cell_angle_beta 90.00
_cell_angle_gamma 120.00
loop_
_atom_site_label
_atom_site_fract_x
_atom_site_fract_y
_atom_site_fract_z
_atom_site_occupancy
Sm1 0.0000 0.0000 0.0000 1
Pd1 0.6667 0.3333 0.5000 1
Se1 0.3333 0.6667 0.5000 1
```

Main lines, sorted by position (10° ≤ 2θ ≤ 90°):
23.4 deg, I = 7
33.2 deg, I = 100
41.2 deg, I = 52
47.3 deg, I = 12
53.8 deg, I = 25
64.5 deg, I = 27
70.0 deg, I = 23
75.0 deg, I = 9
78.9 deg, I = 8
89.3 deg, I = 6



No. 4
This entry pairs a crystal structure of Tb10Nd4Ho with its theoretical PXRD pattern. Radiation: Cu Ka. Structure: a structure optimized by DFT (PBE).
Kinematic intensities with the Lorentz-polarization factor, no thermal factor.

Structural model:
```
data_Tb10Nd4Ho
_chemical_formula_sum 'Tb20 Nd8 Ho2'
_space_group_name_H-M_alt 'I 4/m'
_space_group_IT_number 87
_space_group_name_Hall '-I 4'
_cell_length_a 12.258
_cell_length_b 12.258
_cell_length_c 7.763
_cell_angle_alpha 90.00
_cell_angle_beta 90.00
_cell_angle_gamma 90.00
loop_
_atom_site_label
_atom_site_fract_x
_atom_site_fract_y
_atom_site_fract_z
_atom_site_occupancy
Tb1 0.000 0.500 0.250 1
Tb2 0.099 0.802 0.248 1
Nd1 0.101 0.299 0.500 1
Ho1 0.000 0.000 0.000 1
```

Main lines, sorted by position (10° ≤ 2θ ≤ 90°):
19.8 deg, I = 24
22.9 deg, I = 16
32.7 deg, I = 100
38.5 deg, I = 13
46.9 deg, I = 18
51.3 deg, I = 6
52.8 deg, I = 7
58.3 deg, I = 38
68.4 deg, I = 12
77.9 deg, I = 11



No. 5
This entry pairs a crystal structure of CsVCu2Br8 with its theoretical PXRD pattern. Radiation: Cu Ka. Structure: a structure optimized by DFT (PBE).
Kinematic intensities with the Lorentz-polarization factor, no thermal factor.

Structural model:
```
data_CsVCu2Br8
_chemical_formula_sum 'Cs2 V2 Cu4 Br16'
_space_group_name_H-M_alt 'C 1 2/m 1'
_space_group_IT_number 12
_cell_length_a 10.769
_cell_length_b 7.212
_cell_length_c 10.365
_cell_angle_alpha 90.00
_cell_angle_beta 98.39
_cell_angle_gamma 90.00
loop_
_space_group_symop_operation_xyz
'x,y,z'
'-x,-y,-z'
'-x,y,-z'
'x,-y,z'
'x+1/2,y+1/2,z'
'-x+1/2,-y+1/2,-z'
'-x+1/2,y+1/2,-z'
'x+1/2,-y+1/2,z'
loop_
_atom_site_label
_atom_site_fract_x
_atom_site_fract_y
_atom_site_fract_z
_atom_site_occupancy
Cs1 0.000 0.000 0.000 1
V1 0.000 0.000 0.500 1
Cu1 0.126 0.500 0.304 1
Br1 0.025 0.242 0.674 1
Br2 0.172 0.500 0.092 1
Br3 0.231 0.000 0.496 1
```

Main lines, sorted by position (10° ≤ 2θ ≤ 90°):
16.6 deg, I = 50
17.8 deg, I = 28
23.8 deg, I = 40
28.0 deg, I = 43
28.9 deg, I = 50
29.9 deg, I = 33
30.3 deg, I = 52
30.5 deg, I = 100
47.9 deg, I = 43
50.6 deg, I = 23



No. 6
This entry pairs a crystal structure of Na8ZrTe6 with its theoretical PXRD pattern. Radiation: Cu Ka. Structure: a structure optimized by DFT (PBE).
Kinematic intensities with the Lorentz-polarization factor, no thermal factor.

Structural model:
```
data_Na8ZrTe6
_chemical_formula_sum 'Na16 Zr2 Te12'
_space_group_name_H-M_alt 'P m n 21'
_space_group_IT_number 31
_cell_length_a 8.846
_cell_length_b 9.275
_cell_length_c 12.880
_cell_angle_alpha 90.00
_cell_angle_beta 90.00
_cell_angle_gamma 90.00
loop_
_space_group_symop_operation_xyz
'x,y,z'
'-x+1/2,-y,z+1/2'
'-x,y,z'
'x+1/2,-y,z+1/2'
loop_
_atom_site_label
_atom_site_fract_x
_atom_site_fract_y
_atom_site_fract_z
_atom_site_occupancy
Na1 0.000 0.120 0.000 1
Na2 0.000 0.250 0.442 1
Na3 0.182 0.628 0.113 1
Na4 0.199 0.563 0.811 1
Na5 0.229 0.918 0.759 1
Zr1 0.000 0.753 0.461 1
Te1 0.000 0.308 0.210 1
Te2 0.000 0.512 0.592 1
Te3 0.000 0.776 0.936 1
Te4 0.000 0.994 0.583 1
Te5 0.248 0.236 0.836 1
```

Main lines, sorted by position (10° ≤ 2θ ≤ 90°):
12.1 deg, I = 28
19.6 deg, I = 80
22.7 deg, I = 69
23.0 deg, I = 43
23.3 deg, I = 84
23.6 deg, I = 85
24.4 deg, I = 86
36.1 deg, I = 61
39.7 deg, I = 100
40.8 deg, I = 46



No. 7
This entry pairs a crystal structure of La7PrNd3 with its theoretical PXRD pattern. Radiation: Cu Ka. Structure: a structure optimized by DFT (PBE).
Kinematic intensities with the Lorentz-polarization factor, no thermal factor.

Structural model:
```
data_La7PrNd3
_chemical_formula_sum 'La7 Pr1 Nd3'
_space_group_name_H-M_alt 'P 3 m 1'
_space_group_IT_number 156
_cell_length_a 11.2779
_cell_length_b 11.2779
_cell_length_c 3.6681
_cell_angle_alpha 90.00
_cell_angle_beta 90.00
_cell_angle_gamma 120.00
loop_
_space_group_symop_operation_xyz
'x,y,z'
'-y,x-y,z'
'-x+y,-x,z'
'-y,-x,z'
'-x+y,y,z'
'x,x-y,z'
loop_
_atom_site_label
_atom_site_fract_x
_atom_site_fract_y
_atom_site_fract_z
_atom_site_occupancy
La1 0.0000 0.0000 0.0000 1
La2 0.3959 0.1979 0.4984 1
La3 0.5011 0.0022 0.9982 1
Pr1 0.3333 0.6667 0.9996 1
Nd1 0.1679 0.3358 0.4995 1
```

Main lines, sorted by position (10° ≤ 2θ ≤ 90°):
24.1 deg, I = 24
29.0 deg, I = 19
30.5 deg, I = 96
31.7 deg, I = 100
34.5 deg, I = 23
36.9 deg, I = 21
44.6 deg, I = 27
55.8 deg, I = 36
56.5 deg, I = 13
60.2 deg, I = 32



No. 8
This entry pairs a crystal structure of LaSm2Dy3 with its theoretical PXRD pattern. Radiation: Cu Ka. Structure: a structure optimized by DFT (PBE).
Kinematic intensities with the Lorentz-polarization factor, no thermal factor.

Structural model:
```
data_LaSm2Dy3
_chemical_formula_sum 'La4 Sm8 Dy12'
_space_group_name_H-M_alt 'C 1 2/c 1'
_space_group_IT_number 15
_cell_length_a 9.041
_cell_length_b 9.918
_cell_length_c 9.047
_cell_angle_alpha 90.00
_cell_angle_beta 101.77
_cell_angle_gamma 90.00
loop_
_space_group_symop_operation_xyz
'x,y,z'
'-x,-y,-z'
'-x,y,-z+1/2'
'x,-y,z+1/2'
'x+1/2,y+1/2,z'
'-x+1/2,-y+1/2,-z'
'-x+1/2,y+1/2,-z+1/2'
'x+1/2,-y+1/2,z+1/2'
loop_
_atom_site_label
_atom_site_fract_x
_atom_site_fract_y
_atom_site_fract_z
_atom_site_occupancy
La1 0.000 0.087 0.250 1
Sm1 0.123 0.254 0.626 1
Dy1 0.000 0.421 0.250 1
Dy2 0.249 0.085 0.999 1
```

Main lines, sorted by position (10° ≤ 2θ ≤ 90°):
31.3 deg, I = 100
31.4 deg, I = 21
40.7 deg, I = 8
44.8 deg, I = 21
52.1 deg, I = 5
55.6 deg, I = 15
55.7 deg, I = 20
62.1 deg, I = 19
65.2 deg, I = 5
79.8 deg, I = 6